The following is a simulated PXRD pattern of NdErZnAu. It was derived from a cell relaxed with PBE, using Cu Kα, 1.54184 Å.
Peak positions follow from Bragg's law for the DFT cell and can differ from measured ones.

Most intense lines, 15° ≤ 2θ ≤ 90°, sorted by position:
2theta, I (rel.), (hkl)
27.49, 63, 1 0 1
34.99, 1000, 1 1 0
37.19, 43, 0 0 3
50.32, 174, 2 0 0
62.76, 346, 2 1 2
73.92, 104, 2 2 0
84.44, 110, 3 1 0
84.59, 36, 1 0 6

Cell and atoms:
abc: 3.6283 3.6283 7.2444
angles: 90.00 90.00 90.00
Space group P4mm (No. 99)
Inequivalent atoms, fractional coordinates:
Nd1 0.0000 0.0000 0.0000 x1
Er1 0.0000 0.0000 0.4960 x1
Zn1 0.5000 0.5000 0.2642 x1
Au1 0.5000 0.5000 0.7168 x1